For ZrGeBiO6, a cell relaxed with GGA-PBE gives the theoretical XRD peak list in this record (Cu Kα X-rays).
No peak broadening, texture or thermal motion is included.

Cell and atoms:
Cell: 4.8628 4.8628 9.8077 Å, 90.00 90.00 90.00°
Positions (direct):
Zr 0.0000 0.0000 0.0000
Zr 0.5000 0.5000 0.5000
Ge 0.0000 0.0000 0.3411
Ge 0.5000 0.5000 0.8411
Bi 0.0000 0.0000 0.6710
Bi 0.5000 0.5000 0.1710
O 0.1732 0.1732 0.1840
O 0.1917 0.1917 0.4837
O 0.2175 0.2175 0.8510
O 0.2825 0.7175 0.3510
O 0.3083 0.6917 0.9837
O 0.3268 0.6732 0.6840
O 0.6732 0.3268 0.6840
O 0.6917 0.3083 0.9837
O 0.7175 0.2825 0.3510
O 0.7825 0.7825 0.8510
O 0.8083 0.8083 0.4837
O 0.8268 0.8268 0.1840

Main lines, by angle (15 to 90 degrees two-theta):
| (hkl) | d_spacing | intensity |
| --- | --- | --- |
| 1 0 1 | 4.357 | 30 |
| 1 1 0 | 3.439 | 100 |
| 1 0 3 | 2.713 | 83 |
| 2 0 0 | 2.431 | 24 |
| 2 1 1 | 2.123 | 12 |
| 2 1 3 | 1.811 | 68 |
| 2 2 0 | 1.719 | 16 |
| 3 1 0 | 1.538 | 16 |
| 1 1 6 | 1.476 | 16 |
| 3 0 3 | 1.452 | 20 |
| 3 2 3 | 1.247 | 14 |
| 4 1 3 | 1.109 | 13 |